# Na2NbSi2GePO12
Simulated powder diffraction line list, λ = 1.5418 Å (Cu Kα). Input: the GGA-PBE geometry in the Materials Project.
Lines closer than 0.1° are merged.

```
data_Na2NbSi2GePO12
_chemical_formula_sum 'Na8 Nb4 Si8 Ge4 P4 O48'
_cell_length_a 15.220
_cell_length_b 8.775
_cell_length_c 9.028
_cell_angle_alpha 90.00
_cell_angle_beta 124.80
_cell_angle_gamma 90.00
_space_group_name_H-M_alt 'C 1 c 1'
_space_group_IT_number 9
_space_group_name_Hall 'C -2yc'
loop_
_atom_site_label
_atom_site_fract_x
_atom_site_fract_y
_atom_site_fract_z
_atom_site_occupancy
Na1 0.000 0.063 0.000 1
Na2 0.069 0.261 0.741 1
Nb1 0.212 0.250 0.183 1
Si1 0.173 0.117 0.502 1
Si2 0.320 0.459 0.003 1
Ge1 0.419 0.255 0.811 1
P1 0.460 0.097 0.506 1
O1 0.055 0.321 0.018 1
O2 0.066 0.190 0.479 1
O3 0.164 0.070 0.020 1
O4 0.171 0.135 0.320 1
O5 0.237 0.353 0.017 1
O6 0.247 0.430 0.329 1
O7 0.280 0.188 0.678 1
O8 0.363 0.178 0.336 1
O9 0.401 0.436 0.683 1
O10 0.402 0.357 0.981 1
O11 0.460 0.128 0.674 1
O12 0.464 0.074 0.980 1
```

Peak list (12 most intense, 10 to 90 degrees two-theta, low angle first)
| hkl | 2θ (°) | intensity |
| --- | --- | --- |
| 1 1 -1 | 14.1 | 304 |
| 2 0 -2 | 19.7 | 375 |
| 1 1 1 | 19.8 | 513 |
| 3 1 -1 | 20.2 | 1000 |
| 3 1 -2 | 23.4 | 193 |
| 0 2 1 | 23.6 | 406 |
| 2 2 -2 | 28.4 | 346 |
| 4 0 0 | 28.6 | 206 |
| 3 1 -3 | 31.4 | 310 |
| 0 2 2 | 31.6 | 320 |
| 3 1 1 | 31.7 | 308 |
| 3 3 -1 | 35.4 | 455 |